Structure and theoretical powder X-ray diffraction pattern of TaWSe4 (DFT lattice parameters and positions (GGA-PBE); Cu Kα, 1.54184 Å).

Largest 10 diffraction maxima, in order of rising 2θ, 2θ from 10° to 80°:
2θ = 13.04°, I = 100.0
2θ = 31.06°, I = 23.1
2θ = 33.14°, I = 63.5
2θ = 36.38°, I = 14.1
2θ = 40.54°, I = 77.3
2θ = 50.88°, I = 20.3
2θ = 53.89°, I = 28.7
2θ = 55.70°, I = 15.3
2θ = 69.56°, I = 15.8
2θ = 79.83°, I = 18.3

Cell and atoms:
```
data_TaWSe4
_symmetry_space_group_name_H-M 'P -6 m 2'
_symmetry_Int_Tables_number 187
_symmetry_space_group_name_Hall 'P -6 2'
_cell_length_a 3.4025
_cell_length_b 3.4025
_cell_length_c 13.5755
_cell_angle_alpha 90.00
_cell_angle_beta 90.00
_cell_angle_gamma 120.00
loop_
_atom_site_label
_atom_site_type_symbol
_atom_site_fract_x
_atom_site_fract_y
_atom_site_fract_z
Ta1 Ta 0.0000 0.0000 0.0000
W1 W 0.0000 0.0000 0.5000
Se1 Se 0.3333 0.6667 0.3781
Se2 Se 0.6667 0.3333 0.1260
```

=====

Structure and theoretical powder X-ray diffraction pattern of LiCuC2O5 (DFT lattice parameters and positions (GGA-PBE); Cu Kα, 1.54184 Å).

Largest 10 diffraction maxima, in order of rising 2θ, 2θ from 10° to 80°:
2θ = 13.16°, I = 12.8
2θ = 19.66°, I = 17.7
2θ = 20.04°, I = 80.1
2θ = 24.37°, I = 100.0
2θ = 26.48°, I = 36.6
2θ = 27.80°, I = 18.0
2θ = 32.13°, I = 19.6
2θ = 35.69°, I = 21.8
2θ = 37.31°, I = 19.0
2θ = 40.41°, I = 25.5

Cell and atoms:
```
data_LiCuC2O5
_symmetry_space_group_name_H-M 'C 1 2/c 1'
_symmetry_Int_Tables_number 15
_symmetry_space_group_name_Hall '-C 2yc'
_cell_length_a 10.346
_cell_length_b 10.312
_cell_length_c 10.044
_cell_angle_alpha 90.00
_cell_angle_beta 120.77
_cell_angle_gamma 90.00
loop_
_atom_site_label
_atom_site_type_symbol
_atom_site_fract_x
_atom_site_fract_y
_atom_site_fract_z
Li1 Li 0.192 0.151 0.143
Cu1 Cu 0.000 0.170 0.750
Cu2 Cu 0.000 0.380 0.250
C1 C 0.070 0.329 0.535
C2 C 0.230 0.004 0.898
O1 O 0.039 0.286 0.090
O2 O 0.115 0.299 0.672
O3 O 0.143 0.426 0.495
O4 O 0.167 0.019 0.258
O5 O 0.199 0.089 0.966
```

=====

Structure and theoretical powder X-ray diffraction pattern of ZrFe2Si2 (DFT lattice parameters and positions (GGA-PBE); Cu Kα, 1.54184 Å).

Largest 10 diffraction maxima, in order of rising 2θ, 2θ from 10° to 80°:
2θ = 25.01°, I = 19.7
2θ = 37.14°, I = 46.1
2θ = 38.27°, I = 100.0
2θ = 38.57°, I = 13.4
2θ = 47.20°, I = 43.9
2θ = 54.62°, I = 13.1
2θ = 61.54°, I = 20.2
2θ = 62.53°, I = 11.7
2θ = 68.98°, I = 13.3
2θ = 69.59°, I = 16.9

Cell and atoms:
```
data_ZrFe2Si2
_symmetry_space_group_name_H-M 'I 4/m m m'
_symmetry_Int_Tables_number 139
_symmetry_space_group_name_Hall '-I 4 2'
_cell_length_a 3.851
_cell_length_b 3.851
_cell_length_c 9.337
_cell_angle_alpha 90.00
_cell_angle_beta 90.00
_cell_angle_gamma 90.00
loop_
_atom_site_label
_atom_site_type_symbol
_atom_site_fract_x
_atom_site_fract_y
_atom_site_fract_z
Zr1 Zr 0.000 0.000 0.000
Fe1 Fe 0.000 0.500 0.250
Si1 Si 0.000 0.000 0.372
```

=====

Structure and theoretical powder X-ray diffraction pattern of VIr (DFT lattice parameters and positions (GGA-PBE); Cu Kα, 1.54184 Å).

Largest 10 diffraction maxima, in order of rising 2θ, 2θ from 10° to 80°:
2θ = 26.32°, I = 49.5
2θ = 30.75°, I = 49.0
2θ = 31.70°, I = 40.4
2θ = 40.91°, I = 97.9
2θ = 41.66°, I = 100.0
2θ = 42.98°, I = 29.5
2θ = 44.75°, I = 87.9
2θ = 52.66°, I = 36.7
2θ = 72.81°, I = 21.3
2θ = 79.35°, I = 23.1

Cell and atoms:
```
data_VIr
_symmetry_space_group_name_H-M 'C m m m'
_symmetry_Int_Tables_number 65
_symmetry_space_group_name_Hall '-C 2 2'
_cell_length_a 5.815
_cell_length_b 6.773
_cell_length_c 2.823
_cell_angle_alpha 90.00
_cell_angle_beta 90.00
_cell_angle_gamma 90.00
loop_
_atom_site_label
_atom_site_type_symbol
_atom_site_fract_x
_atom_site_fract_y
_atom_site_fract_z
V1 V 0.204 0.000 0.000
Ir1 Ir 0.000 0.284 0.500
```

=====

Structure and theoretical powder X-ray diffraction pattern of Tm2CuGe2O8 (DFT lattice parameters and positions (GGA-PBE); Cu Kα, 1.54184 Å).

Largest 10 diffraction maxima, in order of rising 2θ, 2θ from 10° to 80°:
2θ = 18.31°, I = 39.8
2θ = 24.96°, I = 47.3
2θ = 28.48°, I = 100.0
2θ = 28.94°, I = 95.1
2θ = 32.62°, I = 88.6
2θ = 34.79°, I = 95.7
2θ = 35.04°, I = 45.1
2θ = 44.71°, I = 37.5
2θ = 48.33°, I = 47.2
2θ = 48.90°, I = 58.3

Cell and atoms:
```
data_Tm2CuGe2O8
_symmetry_space_group_name_H-M 'C 1 m 1'
_symmetry_Int_Tables_number 8
_symmetry_space_group_name_Hall 'C -2y'
_cell_length_a 9.519
_cell_length_b 14.922
_cell_length_c 5.122
_cell_angle_alpha 90.00
_cell_angle_beta 121.59
_cell_angle_gamma 90.00
loop_
_atom_site_label
_atom_site_type_symbol
_atom_site_fract_x
_atom_site_fract_y
_atom_site_fract_z
Tm1 Tm 0.000 0.120 0.000
Tm2 Tm 0.497 0.121 0.508
Cu1 Cu 0.287 0.207 0.808
Ge1 Ge 0.243 0.289 0.270
Ge2 Ge 0.254 0.500 0.206
Ge3 Ge 0.258 0.000 0.814
O1 O 0.058 0.266 0.263
O2 O 0.082 0.000 0.852
O3 O 0.083 0.500 0.825
O4 O 0.245 0.170 0.118
O5 O 0.251 0.331 0.942
O6 O 0.256 0.408 0.435
O7 O 0.264 0.094 0.602
O8 O 0.420 0.259 0.639
O9 O 0.426 0.000 0.204
O10 O 0.431 0.500 0.173
```

=====

What did the fifth record say?
Structure and theoretical powder X-ray diffraction pattern of Tm2CuGe2O8 (DFT lattice parameters and positions (GGA-PBE); Cu Kα, 1.54184 Å).

Largest 10 diffraction maxima, in order of rising 2θ, 2θ from 10° to 80°:
2θ = 18.31°, I = 39.8
2θ = 24.96°, I = 47.3
2θ = 28.48°, I = 100.0
2θ = 28.94°, I = 95.1
2θ = 32.62°, I = 88.6
2θ = 34.79°, I = 95.7
2θ = 35.04°, I = 45.1
2θ = 44.71°, I = 37.5
2θ = 48.33°, I = 47.2
2θ = 48.90°, I = 58.3

Cell and atoms:
```
data_Tm2CuGe2O8
_symmetry_space_group_name_H-M 'C 1 m 1'
_symmetry_Int_Tables_number 8
_symmetry_space_group_name_Hall 'C -2y'
_cell_length_a 9.519
_cell_length_b 14.922
_cell_length_c 5.122
_cell_angle_alpha 90.00
_cell_angle_beta 121.59
_cell_angle_gamma 90.00
loop_
_atom_site_label
_atom_site_type_symbol
_atom_site_fract_x
_atom_site_fract_y
_atom_site_fract_z
Tm1 Tm 0.000 0.120 0.000
Tm2 Tm 0.497 0.121 0.508
Cu1 Cu 0.287 0.207 0.808
Ge1 Ge 0.243 0.289 0.270
Ge2 Ge 0.254 0.500 0.206
Ge3 Ge 0.258 0.000 0.814
O1 O 0.058 0.266 0.263
O2 O 0.082 0.000 0.852
O3 O 0.083 0.500 0.825
O4 O 0.245 0.170 0.118
O5 O 0.251 0.331 0.942
O6 O 0.256 0.408 0.435
O7 O 0.264 0.094 0.602
O8 O 0.420 0.259 0.639
O9 O 0.426 0.000 0.204
O10 O 0.431 0.500 0.173
```